(1)
Structure and simulated powder XRD pattern of Zn6AgPd (a DFT-relaxed cell (PBE, Alexandria); CuKα).
Peak positions follow from Bragg's law for the DFT cell and can differ from measured ones.

a b c (Å): 4.544 4.544 7.278
angles (deg): 103.05 103.05 69.57
Sites, in units of the cell vectors:
1 Zn 0.054 0.561 0.203
2 Zn 0.137 0.137 0.431
3 Zn 0.439 0.946 0.797
4 Zn 0.561 0.054 0.203
5 Zn 0.863 0.863 0.569
6 Zn 0.946 0.439 0.797
7 Ag 0.000 0.000 0.000
8 Pd 0.500 0.500 0.500

Top 12 peaks for 15 to 90 degrees two-theta, in order of rising 2θ:
22.9 deg, d = 3.889 Å, I 58
37.0 deg, d = 2.431 Å, I 23
39.9 deg, d = 2.260 Å, I 40
40.3 deg, d = 2.238 Å, I 55
40.7 deg, d = 2.219 Å, I 72
41.1 deg, d = 2.195 Å, I 36
42.9 deg, d = 2.108 Å, I 36
43.1 deg, d = 2.101 Å, I 58
43.4 deg, d = 2.083 Å, I 100
46.8 deg, d = 1.942 Å, I 23
49.7 deg, d = 1.834 Å, I 24
87.1 deg, d = 1.119 Å, I 31

(2)
Structure and simulated powder XRD pattern of Sr3Ca5 (a DFT-relaxed cell (PBE, Alexandria); CuKα).
Peak positions follow from Bragg's law for the DFT cell and can differ from measured ones.

a b c (Å): 5.751 5.751 11.263
angles (deg): 90.00 90.00 90.00
Sites, in units of the cell vectors:
1 Sr 0.000 0.000 0.000
2 Sr 0.000 0.500 0.269
3 Sr 0.500 0.000 0.269
4 Ca 0.000 0.000 0.525
5 Ca 0.000 0.500 0.755
6 Ca 0.500 0.000 0.755
7 Ca 0.500 0.500 0.526
8 Ca 0.500 0.500 0.998

Top 12 peaks for 15 to 90 degrees two-theta, in order of rising 2θ:
23.3 deg, d = 3.825 Å, I 9
27.0 deg, d = 3.297 Å, I 100
31.1 deg, d = 2.876 Å, I 35
31.8 deg, d = 2.816 Å, I 15
44.6 deg, d = 2.033 Å, I 12
45.1 deg, d = 2.012 Å, I 22
52.9 deg, d = 1.731 Å, I 29
53.8 deg, d = 1.704 Å, I 12
55.8 deg, d = 1.648 Å, I 12
72.3 deg, d = 1.306 Å, I 10
82.4 deg, d = 1.170 Å, I 7
88.4 deg, d = 1.106 Å, I 6

(3)
Structure and simulated powder XRD pattern of Zn3Ga2Te6 (a DFT-relaxed cell (PBE, Alexandria); CuKα).
Peak positions follow from Bragg's law for the DFT cell and can differ from measured ones.

a b c (Å): 7.495 7.495 8.610
angles (deg): 107.38 107.38 47.81
Sites, in units of the cell vectors:
1 Zn 0.000 0.000 0.000
2 Zn 0.372 0.306 0.176
3 Zn 0.694 0.628 0.824
4 Ga 0.376 0.293 0.663
5 Ga 0.707 0.624 0.337
6 Te 0.107 0.581 0.425
7 Te 0.113 0.554 0.917
8 Te 0.419 0.893 0.575
9 Te 0.446 0.887 0.083
10 Te 0.797 0.201 0.728
11 Te 0.799 0.203 0.272

Top 12 peaks for 15 to 90 degrees two-theta, in order of rising 2θ:
25.3 deg, d = 3.516 Å, I 100
29.1 deg, d = 3.069 Å, I 4
29.5 deg, d = 3.033 Å, I 7
41.8 deg, d = 2.159 Å, I 34
42.0 deg, d = 2.152 Å, I 11
42.1 deg, d = 2.144 Å, I 22
49.4 deg, d = 1.847 Å, I 15
49.8 deg, d = 1.832 Å, I 22
49.9 deg, d = 1.827 Å, I 7
60.3 deg, d = 1.534 Å, I 4
66.8 deg, d = 1.400 Å, I 9
76.8 deg, d = 1.241 Å, I 9

(4)
Structure and simulated powder XRD pattern of Li2SnHPt (a DFT-relaxed cell (PBE, Alexandria); CuKα).
Peak positions follow from Bragg's law for the DFT cell and can differ from measured ones.

a b c (Å): 4.183 4.183 3.727
angles (deg): 90.00 90.00 90.00
Sites, in units of the cell vectors:
1 Li 0.000 0.500 0.000
2 Li 0.500 0.000 0.000
3 Sn 0.000 0.000 0.500
4 H 0.500 0.500 0.000
5 Pt 0.500 0.500 0.500

Top 12 peaks for 15 to 90 degrees two-theta, in order of rising 2θ:
23.9 deg, d = 3.727 Å, I 76
30.2 deg, d = 2.958 Å, I 87
38.9 deg, d = 2.317 Å, I 100
43.3 deg, d = 2.091 Å, I 38
48.9 deg, d = 1.864 Å, I 13
50.0 deg, d = 1.824 Å, I 43
58.5 deg, d = 1.577 Å, I 28
62.8 deg, d = 1.479 Å, I 13
67.3 deg, d = 1.391 Å, I 21
68.2 deg, d = 1.375 Å, I 17
71.3 deg, d = 1.323 Å, I 16
76.4 deg, d = 1.247 Å, I 29

(5)
Structure and simulated powder XRD pattern of ZrVIr2 (a DFT-relaxed cell (PBE, Alexandria); CuKα).
Peak positions follow from Bragg's law for the DFT cell and can differ from measured ones.

a b c (Å): 4.173 4.173 3.704
angles (deg): 90.00 90.00 90.00
Sites, in units of the cell vectors:
1 Zr 0.000 0.000 0.000
2 V 0.500 0.500 0.000
3 Ir 0.000 0.500 0.500
4 Ir 0.500 0.000 0.500

Top 12 peaks for 15 to 90 degrees two-theta, in order of rising 2θ:
24.0 deg, d = 3.704 Å, I 17
30.3 deg, d = 2.951 Å, I 20
39.0 deg, d = 2.308 Å, I 100
43.4 deg, d = 2.087 Å, I 37
49.2 deg, d = 1.852 Å, I 13
50.2 deg, d = 1.818 Å, I 10
58.9 deg, d = 1.569 Å, I 7
63.0 deg, d = 1.475 Å, I 12
67.6 deg, d = 1.385 Å, I 20
76.7 deg, d = 1.243 Å, I 27
83.8 deg, d = 1.154 Å, I 11
85.2 deg, d = 1.139 Å, I 11

(6)
Structure and simulated powder XRD pattern of La2PmTm5 (a DFT-relaxed cell (PBE, Alexandria); CuKα).
Peak positions follow from Bragg's law for the DFT cell and can differ from measured ones.

a b c (Å): 8.752 8.752 3.608
angles (deg): 90.08 90.08 69.18
Sites, in units of the cell vectors:
1 La 0.248 0.248 0.499
2 La 0.752 0.752 0.501
3 Pm 0.500 0.500 0.500
4 Tm 0.000 0.000 0.500
5 Tm 0.126 0.630 0.999
6 Tm 0.370 0.874 0.001
7 Tm 0.630 0.126 0.999
8 Tm 0.874 0.370 0.001

Top 12 peaks for 15 to 90 degrees two-theta, in order of rising 2θ:
30.6 deg, d = 2.918 Å, I 100
35.2 deg, d = 2.549 Å, I 35
36.2 deg, d = 2.484 Å, I 16
50.6 deg, d = 1.803 Å, I 12
51.4 deg, d = 1.779 Å, I 24
60.3 deg, d = 1.534 Å, I 22
60.4 deg, d = 1.532 Å, I 7
61.6 deg, d = 1.505 Å, I 14
63.8 deg, d = 1.459 Å, I 12
82.5 deg, d = 1.169 Å, I 3
83.7 deg, d = 1.156 Å, I 9
87.3 deg, d = 1.117 Å, I 5

(7)
Structure and simulated powder XRD pattern of Na5TlSb2 (a DFT-relaxed cell (PBE, Alexandria); CuKα).
Peak positions follow from Bragg's law for the DFT cell and can differ from measured ones.

a b c (Å): 5.408 5.408 20.298
angles (deg): 90.00 90.00 120.00
Sites, in units of the cell vectors:
1 Na 0.000 0.000 0.139
2 Na 0.000 0.000 0.361
3 Na 0.000 0.000 0.639
4 Na 0.000 0.000 0.861
5 Na 0.333 0.667 0.054
6 Na 0.333 0.667 0.250
7 Na 0.333 0.667 0.446
8 Na 0.667 0.333 0.554
9 Na 0.667 0.333 0.750
10 Na 0.667 0.333 0.946
11 Tl 0.333 0.667 0.750
12 Tl 0.667 0.333 0.250
13 Sb 0.333 0.667 0.604
14 Sb 0.333 0.667 0.896
15 Sb 0.667 0.333 0.104
16 Sb 0.667 0.333 0.396

Top 12 peaks for 15 to 90 degrees two-theta, in order of rising 2θ:
18.9 deg, d = 4.683 Å, I 33
19.5 deg, d = 4.564 Å, I 100
26.3 deg, d = 3.383 Å, I 18
32.7 deg, d = 2.742 Å, I 22
33.1 deg, d = 2.704 Å, I 61
36.4 deg, d = 2.465 Å, I 45
38.7 deg, d = 2.326 Å, I 18
42.8 deg, d = 2.112 Å, I 29
49.2 deg, d = 1.850 Å, I 14
50.1 deg, d = 1.822 Å, I 18
51.8 deg, d = 1.763 Å, I 15
61.4 deg, d = 1.511 Å, I 20

(8)
Structure and simulated powder XRD pattern of Ge2SbIr2 (a DFT-relaxed cell (PBE, Alexandria); CuKα).
Peak positions follow from Bragg's law for the DFT cell and can differ from measured ones.

a b c (Å): 7.634 7.634 2.931
angles (deg): 90.00 90.00 90.00
Sites, in units of the cell vectors:
1 Ge 0.146 0.354 0.000
2 Ge 0.354 0.854 0.000
3 Ge 0.646 0.146 0.000
4 Ge 0.854 0.646 0.000
5 Sb 0.000 0.000 0.500
6 Sb 0.500 0.500 0.500
7 Ir 0.144 0.644 0.500
8 Ir 0.356 0.144 0.500
9 Ir 0.644 0.856 0.500
10 Ir 0.856 0.356 0.500

Top 12 peaks for 15 to 90 degrees two-theta, in order of rising 2θ:
16.4 deg, d = 5.398 Å, I 9
26.1 deg, d = 3.414 Å, I 29
30.5 deg, d = 2.931 Å, I 20
37.2 deg, d = 2.414 Å, I 68
40.6 deg, d = 2.224 Å, I 100
47.6 deg, d = 1.908 Å, I 11
48.9 deg, d = 1.863 Å, I 22
53.4 deg, d = 1.716 Å, I 12
63.5 deg, d = 1.465 Å, I 9
69.7 deg, d = 1.350 Å, I 9
74.3 deg, d = 1.276 Å, I 26
76.0 deg, d = 1.253 Å, I 17

(9)
Structure and simulated powder XRD pattern of Ac4Te3Pt (a DFT-relaxed cell (PBE, Alexandria); CuKα).
Peak positions follow from Bragg's law for the DFT cell and can differ from measured ones.

a b c (Å): 8.268 8.268 4.522
angles (deg): 90.00 90.00 108.19
Sites, in units of the cell vectors:
1 Ac 0.215 0.215 0.500
2 Ac 0.240 0.760 0.000
3 Ac 0.760 0.240 0.000
4 Ac 0.785 0.785 0.500
5 Te 0.000 0.500 0.500
6 Te 0.500 0.000 0.500
7 Te 0.500 0.500 0.000
8 Pt 0.000 0.000 0.000

Top 12 peaks for 15 to 90 degrees two-theta, in order of rising 2θ:
26.6 deg, d = 3.349 Å, I 54
27.0 deg, d = 3.307 Å, I 100
34.8 deg, d = 2.581 Å, I 9
37.1 deg, d = 2.424 Å, I 18
38.3 deg, d = 2.353 Å, I 79
39.9 deg, d = 2.261 Å, I 22
46.2 deg, d = 1.964 Å, I 19
48.6 deg, d = 1.874 Å, I 26
55.6 deg, d = 1.654 Å, I 14
62.1 deg, d = 1.494 Å, I 18
62.7 deg, d = 1.483 Å, I 17
71.3 deg, d = 1.322 Å, I 14

(10)
Structure and simulated powder XRD pattern of DyY3Pt2 (a DFT-relaxed cell (PBE, Alexandria); CuKα).
Peak positions follow from Bragg's law for the DFT cell and can differ from measured ones.

a b c (Å): 4.791 8.842 7.169
angles (deg): 90.00 90.00 90.00
Sites, in units of the cell vectors:
1 Dy 0.000 0.084 0.000
2 Dy 0.000 0.916 0.500
3 Y 0.000 0.331 0.634
4 Y 0.000 0.669 0.134
5 Y 0.500 0.168 0.347
6 Y 0.500 0.417 0.981
7 Y 0.500 0.583 0.481
8 Y 0.500 0.832 0.847
9 Pt 0.000 0.343 0.231
10 Pt 0.000 0.657 0.731
11 Pt 0.500 0.157 0.751
12 Pt 0.500 0.843 0.251

Top 12 peaks for 15 to 90 degrees two-theta, in order of rising 2θ:
23.6 deg, d = 3.763 Å, I 24
24.5 deg, d = 3.632 Å, I 37
30.2 deg, d = 2.959 Å, I 46
32.1 deg, d = 2.784 Å, I 20
32.8 deg, d = 2.729 Å, I 100
35.8 deg, d = 2.510 Å, I 53
37.5 deg, d = 2.395 Å, I 50
43.0 deg, d = 2.102 Å, I 23
43.5 deg, d = 2.078 Å, I 26
44.0 deg, d = 2.056 Å, I 34
68.9 deg, d = 1.363 Å, I 21
81.2 deg, d = 1.185 Å, I 22

(11)
Structure and simulated powder XRD pattern of AcH7Rh2Au (a DFT-relaxed cell (PBE, Alexandria); CuKα).
Peak positions follow from Bragg's law for the DFT cell and can differ from measured ones.

a b c (Å): 8.178 8.178 8.178
angles (deg): 152.42 152.42 39.40
Sites, in units of the cell vectors:
1 Ac 0.000 0.000 0.000
2 H 0.116 0.616 0.500
3 H 0.274 0.274 0.000
4 H 0.384 0.884 0.500
5 H 0.500 0.500 0.000
6 H 0.622 0.122 0.500
7 H 0.726 0.726 0.000
8 H 0.878 0.378 0.500
9 Rh 0.386 0.386 0.000
10 Rh 0.614 0.614 0.000
11 Au 0.750 0.250 0.500

Top 12 peaks for 15 to 90 degrees two-theta, in order of rising 2θ:
23.5 deg, d = 3.779 Å, I 45
28.8 deg, d = 3.105 Å, I 100
34.6 deg, d = 2.595 Å, I 82
37.2 deg, d = 2.417 Å, I 69
46.6 deg, d = 1.949 Å, I 36
47.2 deg, d = 1.925 Å, I 16
48.5 deg, d = 1.878 Å, I 18
55.7 deg, d = 1.651 Å, I 32
61.1 deg, d = 1.517 Å, I 33
68.5 deg, d = 1.370 Å, I 21
70.0 deg, d = 1.344 Å, I 17
78.6 deg, d = 1.217 Å, I 16

(12)
Structure and simulated powder XRD pattern of Ho2Co12P7 (a DFT-relaxed cell (PBE, Alexandria); CuKα).
Peak positions follow from Bragg's law for the DFT cell and can differ from measured ones.

a b c (Å): 8.996 8.996 3.580
angles (deg): 90.00 90.00 120.00
Sites, in units of the cell vectors:
1 Ho 0.000 0.000 0.000
2 Ho 0.333 0.667 0.500
3 Co 0.049 0.769 0.500
4 Co 0.101 0.393 0.000
5 Co 0.231 0.281 0.500
6 Co 0.292 0.899 0.000
7 Co 0.394 0.214 0.000
8 Co 0.535 0.099 0.500
9 Co 0.564 0.465 0.500
10 Co 0.607 0.708 0.000
11 Co 0.719 0.951 0.500
12 Co 0.786 0.179 0.000
13 Co 0.821 0.606 0.000
14 Co 0.901 0.436 0.500
15 P 0.073 0.627 0.000
16 P 0.264 0.042 0.500
17 P 0.373 0.446 0.000
18 P 0.554 0.927 0.000
19 P 0.667 0.333 0.000
20 P 0.778 0.736 0.500
21 P 0.958 0.222 0.500

Top 12 peaks for 15 to 90 degrees two-theta, in order of rising 2θ:
27.4 deg, d = 3.253 Å, I 12
30.4 deg, d = 2.945 Å, I 10
34.5 deg, d = 2.597 Å, I 10
39.6 deg, d = 2.274 Å, I 100
40.1 deg, d = 2.249 Å, I 11
49.3 deg, d = 1.850 Å, I 9
51.0 deg, d = 1.790 Å, I 20
53.9 deg, d = 1.700 Å, I 17
57.6 deg, d = 1.599 Å, I 9
69.0 deg, d = 1.362 Å, I 9
77.4 deg, d = 1.233 Å, I 11
88.4 deg, d = 1.106 Å, I 9

(13)
Structure and simulated powder XRD pattern of MgTl2NiI (a DFT-relaxed cell (PBE, Alexandria); CuKα).
Peak positions follow from Bragg's law for the DFT cell and can differ from measured ones.

a b c (Å): 5.882 5.882 4.708
angles (deg): 90.00 90.00 90.00
Sites, in units of the cell vectors:
1 Mg 0.000 0.000 0.000
2 Tl 0.000 0.500 0.000
3 Tl 0.500 0.000 0.000
4 Ni 0.000 0.000 0.500
5 I 0.500 0.500 0.500

Top 12 peaks for 15 to 90 degrees two-theta, in order of rising 2θ:
18.9 deg, d = 4.708 Å, I 11
21.4 deg, d = 4.159 Å, I 10
28.6 deg, d = 3.117 Å, I 100
30.4 deg, d = 2.941 Å, I 51
38.2 deg, d = 2.354 Å, I 14
43.5 deg, d = 2.080 Å, I 19
49.6 deg, d = 1.838 Å, I 26
52.9 deg, d = 1.730 Å, I 37
59.3 deg, d = 1.558 Å, I 15
63.3 deg, d = 1.468 Å, I 11
80.0 deg, d = 1.199 Å, I 11
84.4 deg, d = 1.148 Å, I 12

(14)
Structure and simulated powder XRD pattern of Sr4Nb3CuO12 (a DFT-relaxed cell (PBE, Alexandria); CuKα).
Peak positions follow from Bragg's law for the DFT cell and can differ from measured ones.

a b c (Å): 7.083 7.083 7.083
angles (deg): 109.47 109.47 109.47
Sites, in units of the cell vectors:
1 Sr 0.000 0.000 0.500
2 Sr 0.000 0.500 0.000
3 Sr 0.500 0.000 0.000
4 Sr 0.500 0.500 0.500
5 Nb 0.000 0.500 0.500
6 Nb 0.500 0.000 0.500
7 Nb 0.500 0.500 0.000
8 Cu 0.000 0.000 0.000
9 O 0.000 0.262 0.262
10 O 0.000 0.738 0.738
11 O 0.250 0.500 0.750
12 O 0.250 0.750 0.500
13 O 0.262 0.000 0.262
14 O 0.262 0.262 0.000
15 O 0.500 0.250 0.750
16 O 0.500 0.750 0.250
17 O 0.738 0.000 0.738
18 O 0.738 0.738 0.000
19 O 0.750 0.250 0.500
20 O 0.750 0.500 0.250

Top 12 peaks for 15 to 90 degrees two-theta, in order of rising 2θ:
15.3 deg, d = 5.783 Å, I 1
21.7 deg, d = 4.089 Å, I 2
26.7 deg, d = 3.339 Å, I 1
30.9 deg, d = 2.891 Å, I 100
38.1 deg, d = 2.361 Å, I 3
44.3 deg, d = 2.045 Å, I 35
55.0 deg, d = 1.669 Å, I 39
64.4 deg, d = 1.446 Å, I 21
73.2 deg, d = 1.293 Å, I 17
77.4 deg, d = 1.233 Å, I 1
81.5 deg, d = 1.180 Å, I 7
89.7 deg, d = 1.093 Å, I 21